Calculated XRD peak list of CaMg14CoO16 for CuKα, from the PBE+U geometry in Alexandria.
Neutral-atom scattering factors, no anomalous dispersion.

Main lines, in order of rising 2θ (2θ = 10–80°):
2θ (°), d/Å, I/Imax
10.27, 8.615, 8
31.14, 2.872, 4
36.13, 2.486, 24
41.85, 2.158, 100
42.19, 2.142, 49
60.68, 1.526, 28
60.93, 1.520, 55
72.70, 1.301, 9
73.17, 1.294, 5
76.67, 1.243, 25

Cell and atoms:
```
CaMg14CoO16
1.0
4.3175 0.0000 0.0000
0.0000 8.5685 0.0000
0.0000 0.0000 8.6316
Ca Mg Co O
1 14 1 16
Direct
0.0000 0.0000 0.0000
0.0000 0.0000 0.5000
0.0000 0.2546 0.2539
0.0000 0.2546 0.7461
0.0000 0.5000 0.5000
0.0000 0.7454 0.2539
0.0000 0.7454 0.7461
0.5000 0.0000 0.2563
0.5000 0.0000 0.7437
0.5000 0.2510 0.5000
0.5000 0.2555 0.0000
0.5000 0.5000 0.2508
0.5000 0.5000 0.7492
0.5000 0.7445 0.0000
0.5000 0.7490 0.5000
0.0000 0.5000 0.0000
0.0000 0.0000 0.2631
0.0000 0.0000 0.7369
0.0000 0.2514 0.5000
0.0000 0.2635 0.0000
0.0000 0.5000 0.2588
0.0000 0.5000 0.7412
0.0000 0.7365 0.0000
0.0000 0.7486 0.5000
0.5000 0.0000 0.0000
0.5000 0.0000 0.5000
0.5000 0.2502 0.2490
0.5000 0.2502 0.7510
0.5000 0.5000 0.0000
0.5000 0.5000 0.5000
0.5000 0.7498 0.2490
0.5000 0.7498 0.7510
```